# 1
Starting from a GGA-PBE-relaxed structure, the X-ray powder pattern of Pm4As6Pd5 was computed for Cu Kα (λ = 1.5418 Å).

Atomic structure:
Cell: 4.262 19.170 15.310 Å, 90.00 90.00 90.00°
Space group Cmc2_1 (No. 36)
Unique sites:
Pm 0.000 0.017 0.000 (multiplicity 4)
Pm 0.000 0.036 0.259 (multiplicity 4)
Pm 0.000 0.167 0.796 (multiplicity 4)
Pm 0.000 0.183 0.442 (multiplicity 4)
As 0.000 0.112 0.614 (multiplicity 4)
As 0.000 0.219 0.985 (multiplicity 4)
As 0.000 0.232 0.255 (multiplicity 4)
As 0.000 0.420 0.624 (multiplicity 4)
As 0.000 0.428 0.901 (multiplicity 4)
As 0.000 0.442 0.345 (multiplicity 4)
Pd 0.000 0.154 0.125 (multiplicity 4)
Pd 0.000 0.306 0.115 (multiplicity 4)
Pd 0.000 0.342 0.775 (multiplicity 4)
Pd 0.000 0.356 0.468 (multiplicity 4)
Pd 0.000 0.451 0.161 (multiplicity 4)

The 10 most intense peaks (2θ from 5° to 70°), by angle:
2theta  intensity  hkl
27.66  43  1 1 3
31.38  23  1 5 0
31.77  41  1 1 4
31.94  41  1 5 1
33.55  23  1 5 2
34.48  30  1 3 4
35.17  32  0 0 6
36.09  100  1 5 3
42.41  73  2 0 0
45.98  23  1 7 4

# 2
Starting from a GGA-PBE-relaxed structure, the X-ray powder pattern of MnRh2Cl was computed for Cu Kα (λ = 1.5418 Å).

Atomic structure:
Cell: 3.001 3.001 6.704 Å, 90.00 90.00 90.00°
Space group P4/mmm (No. 123)
Unique sites:
Mn 0.000 0.000 0.000 (multiplicity 1)
Rh 0.500 0.500 0.212 (multiplicity 2)
Cl 0.000 0.000 0.500 (multiplicity 1)

The 10 most intense peaks (2θ from 5° to 70°), by angle:
2theta  intensity  hkl
13.21  24  0 0 1
26.59  8  0 0 2
29.77  20  1 0 0
40.34  100  1 0 2
42.60  48  1 1 0
44.79  5  1 1 1
50.94  22  1 0 3
54.77  5  0 0 4
60.13  5  1 1 3
61.83  15  2 0 0

# 3
Starting from a GGA-PBE-relaxed structure, the X-ray powder pattern of Sm2Y6Ho3Tm was computed for Cu Kα (λ = 1.5418 Å).

Atomic structure:
Cell: 6.171 10.677 11.805 Å, 90.00 99.98 90.00°
Space group C2/m (No. 12)
Unique sites:
Sm 0.000 0.167 0.000 (multiplicity 4)
Y 0.249 0.500 0.748 (multiplicity 4)
Y 0.250 0.166 0.749 (multiplicity 8)
Ho 0.000 0.000 0.500 (multiplicity 2)
Ho 0.000 0.334 0.500 (multiplicity 4)
Tm 0.000 0.500 0.000 (multiplicity 2)

The 10 most intense peaks (2θ from 5° to 70°), by angle:
2theta  intensity  hkl
15.24  9  0 0 2
29.41  6  2 0 0
30.76  100  1 3 1
35.66  50  2 0 2
38.99  3  1 3 3
51.32  35  1 3 5
53.85  2  3 3 1
60.99  14  4 0 0
61.05  28  0 6 4
64.06  12  2 6 2

# 4
Starting from a GGA-PBE-relaxed structure, the X-ray powder pattern of Mg3Mn was computed for Cu Kα (λ = 1.5418 Å).

Atomic structure:
Cell: 3.073 9.852 5.298 Å, 90.00 90.00 90.00°
Space group Imm2 (No. 44)
Unique sites:
Mg 0.000 0.000 0.000 (multiplicity 2)
Mg 0.000 0.241 0.347 (multiplicity 4)
Mn 0.000 0.500 0.008 (multiplicity 2)

The 10 most intense peaks (2θ from 5° to 70°), by angle:
2theta  intensity  hkl
18.01  12  0 2 0
19.02  24  0 1 1
33.72  25  1 0 1
33.84  15  0 0 2
36.48  37  0 4 0
38.48  100  1 2 1
38.59  46  0 2 2
50.55  24  0 4 2
60.46  16  1 0 3
67.01  24  1 6 1

# 5
Starting from a GGA-PBE-relaxed structure, the X-ray powder pattern of ThZr2Sc4 was computed for Cu Kα (λ = 1.5418 Å).

Atomic structure:
Cell: 3.271 7.812 8.055 Å, 115.32 101.08 98.08°
Space group P-1 (No. 2)
Unique sites:
Th 0.000 0.000 0.000 (multiplicity 1)
Zr 0.214 0.559 0.870 (multiplicity 2)
Sc 0.322 0.695 0.566 (multiplicity 2)
Sc 0.382 0.149 0.697 (multiplicity 2)

The 10 most intense peaks (2θ from 5° to 70°), by angle:
2theta  intensity  hkl
12.67  100  0 0 1
13.22  26  0 1 -1
31.44  25  1 1 -1
33.46  53  1 1 -2
33.77  56  1 -2 0
34.18  61  0 2 1
34.39  58  0 1 -3
34.62  30  1 -2 1
34.75  48  1 0 1
35.57  51  0 3 -2

# 6
Starting from a GGA-PBE-relaxed structure, the X-ray powder pattern of NaPtRh2 was computed for Cu Kα (λ = 1.5418 Å).

Atomic structure:
Cell: 6.293 6.293 6.293 Å, 90.00 90.00 90.00°
Space group Fm-3m (No. 225)
Unique sites:
Na 0.000 0.000 0.000 (multiplicity 4)
Pt 0.000 0.000 0.500 (multiplicity 4)
Rh 0.250 0.250 0.250 (multiplicity 8)

The 5 most intense peaks (2θ from 5° to 70°), by angle:
2theta  intensity  hkl
24.50  38  1 1 1
40.55  100  2 2 0
47.95  19  3 1 1
58.69  17  4 0 0
64.55  8  3 3 1